No. 1
Starting from a DFT-relaxed cell (GGA-PBE, Alexandria), the XRD peak list of AgMo6Cl13 was simulated for a wavelength of 1.5418 Å.
No peak broadening, texture or thermal motion is included.

Crystal structure
```
40
Lattice="9.4470 0.0000 0.0000 -2.6242 9.0883 0.0000 -4.2854 -3.2249 13.1555" Properties=species:S:1:pos:R:3 pbc="T T T"
Ag -1.1313 2.1943 3.4577
Ag 3.6687 3.6691 9.6978
Mo 1.1312 -1.0654 5.5474
Mo 1.9132 3.5576 0.4885
Mo -1.8967 2.2474 11.9110
Mo -0.4627 5.6995 6.2239
Mo 1.4974 -1.6456 8.0824
Mo -0.4543 0.0506 11.8691
Mo 2.9916 5.8128 1.2865
Mo 1.0400 7.5090 5.0731
Mo 3.0000 0.1639 6.9316
Mo 4.4341 3.6160 1.2445
Mo 0.6241 2.3058 12.6670
Mo 1.4062 6.9289 7.6081
Cl -0.7749 -0.3521 4.1954
Cl -0.0716 2.2431 1.1184
Cl -2.8573 0.0528 11.2200
Cl -2.8374 6.2675 6.7089
Cl -3.1787 3.4617 10.2265
Cl -1.0026 3.3438 5.7608
Cl 0.6306 5.6964 0.5026
Cl -0.7871 6.3428 3.8405
Cl 0.0502 -1.7562 10.1625
Cl 0.5712 0.5372 7.3445
Cl 3.3494 1.5220 0.4146
Cl 2.6440 0.6210 4.5102
Cl -0.0197 1.9333 10.3012
Cl 2.5571 3.9301 2.8543
Cl -0.1066 5.2424 8.6453
Cl -0.8121 4.3414 12.7409
Cl 1.9661 5.3262 5.8110
Cl 2.4872 7.6196 2.9930
Cl 3.3245 -0.4793 9.3150
Cl 1.9068 0.1671 12.6530
Cl 3.5400 2.5196 7.3947
Cl 5.7160 2.4017 2.9291
Cl 5.3748 -0.4041 6.4467
Cl 5.3947 5.8106 1.9355
Cl 2.6089 3.6203 12.0371
Cl 3.3122 6.2155 8.9601
```

Largest 10 diffraction maxima, by intensity, 5° ≤ 2θ ≤ 70°:
| 2θ/deg | d (Å) | Rel. int. |
| --- | --- | --- |
| 10.43 | 8.482 | 100.0 |
| 13.34 | 6.635 | 86.5 |
| 10.66 | 8.301 | 81.2 |
| 13.79 | 6.421 | 75.0 |
| 14.23 | 6.225 | 68.2 |
| 15.61 | 5.678 | 23.5 |
| 12.90 | 6.861 | 20.4 |
| 39.35 | 2.290 | 15.3 |
| 13.46 | 6.578 | 15.0 |
| 43.62 | 2.075 | 14.2 |


No. 2
Starting from a DFT-relaxed cell (GGA-PBE, Alexandria), the XRD peak list of TlAg2MoCl6 was simulated for a wavelength of 1.5418 Å.
No peak broadening, texture or thermal motion is included.

Crystal structure
```
10
Lattice="3.4292 1.9799 7.2259 -3.4292 1.9799 7.2259 0.0000 -3.9597 7.2259" Properties=species:S:1:pos:R:3 pbc="T T T"
Tl 0.0000 0.0000 0.0000
Ag 0.0000 0.0000 3.9378
Ag 0.0000 0.0000 17.7399
Mo 0.0000 0.0000 10.8388
Cl -2.0280 0.0497 9.4315
Cl -1.0571 -1.7315 12.2462
Cl 0.9710 -1.7812 9.4315
Cl -0.9710 1.7812 12.2462
Cl 1.0570 1.7315 9.4315
Cl 2.0280 -0.0497 12.2462
```

Largest 10 diffraction maxima, by intensity, 5° ≤ 2θ ≤ 70°:
| 2θ/deg | d (Å) | Rel. int. |
| --- | --- | --- |
| 36.11 | 2.487 | 100.0 |
| 25.98 | 3.429 | 62.5 |
| 45.83 | 1.980 | 36.5 |
| 22.21 | 4.003 | 34.5 |
| 25.44 | 3.502 | 33.8 |
| 15.47 | 5.728 | 31.7 |
| 17.02 | 5.209 | 30.2 |
| 12.25 | 7.226 | 28.1 |
| 59.69 | 1.549 | 21.1 |
| 28.82 | 3.098 | 19.8 |


No. 3
Starting from a DFT-relaxed cell (GGA-PBE, Alexandria), the XRD peak list of Ag4N2Cl5 was simulated for a wavelength of 1.5418 Å.
No peak broadening, texture or thermal motion is included.

Crystal structure
```
11
Lattice="10.3367 -1.7382 0.0000 10.3367 1.7382 0.0000 -0.3024 0.0000 8.0545" Properties=species:S:1:pos:R:3 pbc="T T T"
Ag 0.8290 0.0000 1.8235
Ag 6.5501 0.0000 4.9630
Ag 13.8210 0.0000 3.0915
Ag 19.5420 0.0000 6.2311
N 2.1807 0.0000 3.5161
N 18.1904 0.0000 4.5384
Cl 1.4727 0.0000 5.0625
Cl 5.0078 0.0000 2.1972
Cl 10.3367 0.0000 0.0000
Cl 15.3632 0.0000 5.8573
Cl 18.8984 0.0000 2.9920
```

Largest 10 diffraction maxima, by intensity, 5° ≤ 2θ ≤ 70°:
| 2θ/deg | d (Å) | Rel. int. |
| --- | --- | --- |
| 13.69 | 6.471 | 100.0 |
| 28.60 | 3.121 | 48.9 |
| 10.98 | 8.055 | 48.6 |
| 35.28 | 2.544 | 43.4 |
| 34.46 | 2.602 | 37.8 |
| 28.77 | 3.103 | 30.1 |
| 49.23 | 1.851 | 22.3 |
| 42.64 | 2.120 | 18.2 |
| 36.13 | 2.486 | 15.3 |
| 31.06 | 2.880 | 13.2 |


No. 4
Starting from a DFT-relaxed cell (GGA-PBE, Alexandria), the XRD peak list of AgN2Cl3 was simulated for a wavelength of 1.5418 Å.
No peak broadening, texture or thermal motion is included.

Crystal structure
```
12
Lattice="4.2090 0.0000 0.0000 -1.5826 6.8106 0.0000 -0.8985 -0.3549 11.5163" Properties=species:S:1:pos:R:3 pbc="T T T"
Ag -0.0938 1.1174 2.8756
Ag 1.8218 5.3383 8.6407
N -0.3652 2.4849 1.1256
N 0.1910 2.4181 4.6728
N 1.5369 4.0377 6.8435
N 2.0931 3.9708 10.3907
Cl -0.6357 4.8479 0.2547
Cl 0.6395 1.8075 6.0662
Cl 1.3055 -0.0507 8.6581
Cl 0.4224 6.5065 2.8582
Cl 1.0885 4.6482 5.4501
Cl 2.3636 1.6078 11.2616
```

Largest 10 diffraction maxima, by intensity, 5° ≤ 2θ ≤ 70°:
| 2θ/deg | d (Å) | Rel. int. |
| --- | --- | --- |
| 15.34 | 5.774 | 100.0 |
| 14.91 | 5.941 | 78.4 |
| 23.52 | 3.782 | 71.5 |
| 22.48 | 3.955 | 62.1 |
| 20.51 | 4.331 | 54.4 |
| 19.89 | 4.465 | 53.3 |
| 31.06 | 2.879 | 49.9 |
| 28.37 | 3.146 | 45.5 |
| 30.86 | 2.898 | 31.3 |
| 38.05 | 2.365 | 31.2 |


No. 5
Starting from a DFT-relaxed cell (GGA-PBE, Alexandria), the XRD peak list of Na3Ag3Cl8 was simulated for a wavelength of 1.5418 Å.
No peak broadening, texture or thermal motion is included.

Crystal structure
```
14
Lattice="3.9354 2.2721 6.6630 -3.9354 2.2721 6.6630 0.0000 -4.5442 6.6630" Properties=species:S:1:pos:R:3 pbc="T T T"
Na -1.9677 -1.1361 6.6630
Na -1.9677 1.1361 13.3260
Na 0.0000 2.2721 6.6630
Ag 0.0000 0.0000 2.6981
Ag 0.0000 0.0000 9.9945
Ag 0.0000 0.0000 17.2910
Cl 0.0000 0.0000 5.2278
Cl -1.8504 -1.0683 11.5026
Cl 0.0000 -2.1366 8.4865
Cl -1.8504 1.0683 8.4865
Cl 1.8504 -1.0683 11.5026
Cl 0.0000 2.1366 11.5026
Cl 1.8504 1.0683 8.4865
Cl 0.0000 0.0000 14.7613
```

Largest 10 diffraction maxima, by intensity, 5° ≤ 2θ ≤ 70°:
| 2θ/deg | d (Å) | Rel. int. |
| --- | --- | --- |
| 26.30 | 3.389 | 100.0 |
| 22.59 | 3.935 | 82.3 |
| 46.13 | 1.968 | 53.8 |
| 13.29 | 6.663 | 53.7 |
| 44.99 | 2.015 | 50.3 |
| 25.84 | 3.448 | 42.2 |
| 41.71 | 2.166 | 31.6 |
| 42.01 | 2.151 | 28.8 |
| 31.78 | 2.816 | 21.2 |
| 39.67 | 2.272 | 18.1 |


No. 6
Starting from a DFT-relaxed cell (GGA-PBE, Alexandria), the XRD peak list of Na4AgCl6 was simulated for a wavelength of 1.5418 Å.
No peak broadening, texture or thermal motion is included.

Crystal structure
```
22
Lattice="6.1167 -3.4604 0.0000 6.1167 3.4604 0.0000 -1.0112 0.0000 13.0925" Properties=species:S:1:pos:R:3 pbc="T T T"
Na 3.0410 1.2094 12.7358
Na 5.6111 2.3004 6.5463
Na 6.9994 1.3880 12.7141
Na 7.6808 1.1736 3.0794
Na 3.5466 -1.2094 6.1895
Na 7.1752 -1.1736 9.6256
Na 6.1167 -2.3004 0.0000
Na 7.5051 -1.3880 6.1678
Ag 3.6612 1.1715 3.0923
Ag 3.1556 -1.1715 9.6385
Cl 1.0148 0.2000 11.3109
Cl 5.9884 2.2033 1.2087
Cl 1.5204 -0.2000 4.7646
Cl 3.2735 0.8610 8.1643
Cl 3.7791 -0.8610 1.6180
Cl 5.4247 0.1859 4.6398
Cl 4.9191 -0.1859 11.1861
Cl 7.7580 1.0669 7.9929
Cl 9.0563 0.3370 11.2223
Cl 5.4827 -2.2033 7.7550
Cl 8.2636 -1.0669 1.4467
Cl 9.5619 -0.3370 4.6761
```

Largest 10 diffraction maxima, by intensity, 5° ≤ 2θ ≤ 70°:
| 2θ/deg | d (Å) | Rel. int. |
| --- | --- | --- |
| 31.66 | 2.826 | 100.0 |
| 16.44 | 5.392 | 98.0 |
| 15.97 | 5.550 | 96.6 |
| 45.19 | 2.006 | 90.7 |
| 33.04 | 2.711 | 84.1 |
| 14.52 | 6.099 | 79.2 |
| 44.56 | 2.033 | 78.3 |
| 29.70 | 3.008 | 65.5 |
| 33.84 | 2.649 | 64.3 |
| 28.06 | 3.179 | 63.1 |